Calculated powder diffractogram
Compound: Na3H7Os
Radiation: Cu Kα X-rays
Structure: the PBE geometry in OQMD

```
data_Na3H7Os
_chemical_formula_sum 'Na12 H28 Os4'
_symmetry_space_group_name_H-M 'P 42/m n m'
_symmetry_Int_Tables_number 136
_symmetry_space_group_name_Hall '-P 4n 2n'
_cell_length_a 9.314
_cell_length_b 9.314
_cell_length_c 5.138
_cell_angle_alpha 90.00
_cell_angle_beta 90.00
_cell_angle_gamma 90.00
loop_
_atom_site_label
_atom_site_type_symbol
_atom_site_fract_x
_atom_site_fract_y
_atom_site_fract_z
_atom_site_occupancy
Na1 Na 0.034 0.305 0.000 1
Na2 Na 0.116 0.884 0.500 1
H1 H 0.065 0.328 0.500 1
H2 H 0.102 0.102 0.295 1
H3 H 0.170 0.830 0.000 1
H4 H 0.243 0.243 0.196 1
Os1 Os 0.202 0.202 0.500 1
```

Largest 10 diffraction maxima, in order of rising 2θ, 2θ = 10–90°:
2θ/deg, I (rel.), hkl
19.1, 69.7, 2 0 0
19.7, 19.4, 1 0 1
21.3, 39.9, 2 1 0
21.9, 100.0, 1 1 1
33.7, 58.7, 3 0 1
34.9, 23.0, 0 0 2
35.1, 47.3, 3 1 1
39.0, 26.6, 3 2 1
39.9, 19.9, 4 1 0
40.1, 20.2, 2 0 2

---

Calculated powder diffractogram
Compound: La2SmZn2Si4Au2
Radiation: Cu Kα X-rays
Structure: the PBE geometry in OQMD

```
data_La2SmZn2Si4Au2
_chemical_formula_sum 'La4 Sm2 Zn4 Si8 Au4'
_symmetry_space_group_name_H-M 'I m m m'
_symmetry_Int_Tables_number 71
_symmetry_space_group_name_Hall '-I 2 2'
_cell_length_a 4.267
_cell_length_b 4.307
_cell_length_c 24.904
_cell_angle_alpha 90.00
_cell_angle_beta 90.00
_cell_angle_gamma 90.00
loop_
_atom_site_label
_atom_site_type_symbol
_atom_site_fract_x
_atom_site_fract_y
_atom_site_fract_z
_atom_site_occupancy
La1 La 0.000 0.000 0.145 1
Sm1 Sm 0.000 0.500 0.500 1
Zn1 Zn 0.000 0.000 0.406 1
Si1 Si 0.000 0.000 0.309 1
Si2 Si 0.000 0.500 0.047 1
Au1 Au 0.000 0.500 0.250 1
```

Largest 10 diffraction maxima, in order of rising 2θ, 2θ = 10–90°:
2θ/deg, I (rel.), hkl
14.2, 11.2, 0 0 4
23.4, 11.4, 1 0 3
28.7, 14.7, 0 0 8
32.6, 19.4, 0 1 7
32.9, 100.0, 1 1 4
36.7, 11.0, 1 1 6
41.6, 11.2, 1 1 8
42.0, 17.7, 0 2 0
42.4, 17.3, 2 0 0
61.1, 11.6, 2 2 0

---

Calculated powder diffractogram
Compound: SrSbAu
Radiation: Cu Kα X-rays
Structure: the PBE geometry in OQMD

```
data_SrSbAu
_chemical_formula_sum 'Sr3 Sb3 Au3'
_symmetry_space_group_name_H-M 'P -6 2 m'
_symmetry_Int_Tables_number 189
_symmetry_space_group_name_Hall 'P -6 -2'
_cell_length_a 7.6798
_cell_length_b 7.6798
_cell_length_c 4.6812
_cell_angle_alpha 90.00
_cell_angle_beta 90.00
_cell_angle_gamma 120.00
loop_
_atom_site_label
_atom_site_type_symbol
_atom_site_fract_x
_atom_site_fract_y
_atom_site_fract_z
_atom_site_occupancy
Sr1 Sr 0.0000 0.5811 0.0000 1
Sb1 Sb 0.0000 0.0000 0.0000 1
Sb2 Sb 0.3333 0.6667 0.5000 1
Au1 Au 0.0000 0.2537 0.5000 1
```

Largest 10 diffraction maxima, in order of rising 2θ, 2θ = 10–90°:
2θ/deg, I (rel.), hkl
19.0, 31.0, 0 0 1
23.2, 17.9, 1 1 0
30.1, 100.0, 1 1 1
33.0, 94.1, 2 0 1
35.7, 60.9, 2 1 0
38.5, 40.3, 0 0 2
40.7, 94.0, 3 0 0
53.5, 38.6, 2 1 2
57.2, 22.5, 3 0 2
64.2, 45.9, 3 2 1

---

Calculated powder diffractogram
Compound: AgSe
Radiation: Cu Kα X-rays
Structure: the PBE geometry in OQMD

```
data_AgSe
_chemical_formula_sum 'Ag4 Se4'
_symmetry_space_group_name_H-M 'F -4 3 m'
_symmetry_Int_Tables_number 216
_symmetry_space_group_name_Hall 'F -4 2 3'
_cell_length_a 5.913
_cell_length_b 5.913
_cell_length_c 5.913
_cell_angle_alpha 90.00
_cell_angle_beta 90.00
_cell_angle_gamma 90.00
loop_
_atom_site_label
_atom_site_type_symbol
_atom_site_fract_x
_atom_site_fract_y
_atom_site_fract_z
_atom_site_occupancy
Ag1 Ag 0.000 0.000 0.000 1
Se1 Se 0.250 0.250 0.750 1
```

Largest 10 diffraction maxima, in order of rising 2θ, 2θ = 10–90°:
2θ/deg, I (rel.), hkl
26.1, 100.0, 1 1 1
30.2, 2.9, 2 0 0
43.3, 72.8, 2 2 0
51.2, 44.7, 3 1 1
53.7, 0.7, 2 2 2
62.9, 11.5, 4 0 0
69.3, 17.5, 3 3 1
71.3, 0.8, 4 2 0
79.4, 23.5, 4 2 2
85.3, 13.5, 5 1 1